This entry pairs a crystal structure of RbMnH4Cl3O2 with its calculated XRD peak list. Radiation: λ = 1.5418 Å (Cu Kα). Structure: a PBE+U-relaxed structure.

Crystal structure
a = 6.6352 Å, b = 7.3159 Å, c = 8.9870 Å
α = 91.26°, β = 107.60°, γ = 112.10°
Sites, in units of the cell vectors:
Rb1 0.2368 0.0571 0.3189
Rb2 0.7632 0.9429 0.6811
Mn1 0.4997 0.3347 0.8318
Mn2 0.5003 0.6653 0.1682
H1 0.0880 0.7038 0.9786
H2 0.1211 0.4486 0.6886
H3 0.2537 0.4762 0.5651
H4 0.2769 0.8217 0.9030
H5 0.7231 0.1783 0.0970
H6 0.7463 0.5238 0.4349
H7 0.8789 0.5514 0.3114
H8 0.9120 0.2962 0.0214
Cl1 0.2497 0.5792 0.3431
Cl2 0.2537 0.2975 0.0100
Cl3 0.2806 0.9735 0.6974
Cl4 0.7194 0.0265 0.3026
Cl5 0.7463 0.7025 0.9900
Cl6 0.7503 0.4208 0.6569
O1 0.2511 0.4318 0.6680
O2 0.2545 0.7574 0.9961
O3 0.7455 0.2426 0.0039
O4 0.7489 0.5682 0.3320

Largest 10 diffraction maxima, sorted by position, 2θ from 10° to 90°:
- (1 0 0), 15.31°, I = 28
- (0 1 -1), 15.56°, I = 33
- (0 1 -2), 23.09°, I = 38
- (0 2 1), 30.18°, I = 100
- (2 0 0), 30.88°, I = 38
- (0 2 -2), 31.39°, I = 66
- (0 0 3), 31.71°, I = 42
- (2 0 -3), 36.24°, I = 63
- (2 -2 2), 41.83°, I = 40
- (2 2 -2), 47.29°, I = 25